Entry 1:
Computed powder X-ray diffraction pattern
Compound: MgGa2SiN4
Radiation: copper Kα
Structure: DFT lattice parameters and positions (GGA-PBE)
Peak positions follow from Bragg's law for the DFT cell and can differ from measured ones.

Structure:
abc: 5.3747 5.3747 5.3747
angles: 129.55 129.55 74.13
Fractional positions:
Mg 0.0000 0.0000 0.0000
Ga 0.2500 0.7500 0.5000
Ga 0.7500 0.2500 0.5000
Si 0.5000 0.5000 0.0000
N 0.1587 0.1587 0.5582
N 0.3995 0.8413 0.0000
N 0.6005 0.6005 0.4418
N 0.8413 0.3995 0.0000

The 10 most intense peaks (10° ≤ 2θ ≤ 90°), low angle first:
two_theta	d/Å	I/Imax
20.71	4.289	16
27.53	3.239	17
34.70	2.585	100
39.33	2.291	19
42.14	2.144	8
44.86	2.020	10
56.84	1.620	15
59.00	1.565	28
68.34	1.373	25
72.23	1.308	11

=====

Entry 2:
Computed powder X-ray diffraction pattern
Compound: Mg2GaSiN4
Radiation: copper Kα
Structure: DFT lattice parameters and positions (GGA-PBE)
Peak positions follow from Bragg's law for the DFT cell and can differ from measured ones.

Structure:
abc: 6.2171 5.8049 5.2067
angles: 90.00 90.00 90.00
Fractional positions:
Mg 0.2481 0.1633 0.0000
Mg 0.2519 0.8367 0.5000
Mg 0.7481 0.8367 0.5000
Mg 0.7519 0.1633 0.0000
Ga 0.0000 0.3486 0.5001
Ga 0.5000 0.6514 0.0001
Si 0.0000 0.6635 0.9991
Si 0.5000 0.3365 0.4991
N 0.0000 0.3812 0.8759
N 0.0000 0.6518 0.3369
N 0.2326 0.8150 0.9053
N 0.2674 0.1850 0.4053
N 0.5000 0.3482 0.8369
N 0.5000 0.6188 0.3759
N 0.7326 0.1850 0.4053
N 0.7674 0.8150 0.9053

The 10 most intense peaks (10° ≤ 2θ ≤ 90°), low angle first:
two_theta	d/Å	I/Imax
15.26	5.805	34
22.94	3.876	43
32.68	2.740	90
34.45	2.603	83
35.41	2.535	71
37.07	2.425	100
48.22	1.887	35
55.98	1.643	51
63.44	1.466	42
67.41	1.389	39

=====

Entry 3:
Computed powder X-ray diffraction pattern
Compound: NaMgGa6
Radiation: copper Kα
Structure: DFT lattice parameters and positions (GGA-PBE)
Peak positions follow from Bragg's law for the DFT cell and can differ from measured ones.

Structure:
abc: 4.9930 5.7467 5.4552
angles: 90.00 90.00 90.00
Fractional positions:
Na 0.0000 0.0000 0.0000
Mg 0.5000 0.5000 0.2688
Ga 0.0000 0.2559 0.4843
Ga 0.0000 0.5000 0.9383
Ga 0.0000 0.7441 0.4843
Ga 0.5000 0.0000 0.3425
Ga 0.5000 0.2549 0.7882
Ga 0.5000 0.7451 0.7882

The 10 most intense peaks (10° ≤ 2θ ≤ 90°), low angle first:
two_theta	d/Å	I/Imax
35.31	2.542	24
35.97	2.496	45
37.58	2.394	55
39.79	2.266	100
49.53	1.840	14
51.29	1.781	16
60.23	1.537	15
67.23	1.392	20
72.19	1.309	17
77.48	1.232	14

=====

Entry 4:
Computed powder X-ray diffraction pattern
Compound: NaMg14Ga
Radiation: copper Kα
Structure: DFT lattice parameters and positions (GGA-PBE)
Peak positions follow from Bragg's law for the DFT cell and can differ from measured ones.

Structure:
abc: 6.3856 6.3856 10.3282
angles: 90.00 90.00 120.00
Fractional positions:
Na 0.0000 0.0000 0.0000
Mg 0.0042 0.5021 0.0000
Mg 0.1662 0.3324 0.2591
Mg 0.1662 0.3324 0.7409
Mg 0.1662 0.8338 0.2591
Mg 0.1662 0.8338 0.7409
Mg 0.4979 0.5021 0.0000
Mg 0.4979 0.9958 0.0000
Mg 0.5030 0.0060 0.5000
Mg 0.5030 0.4970 0.5000
Mg 0.6667 0.3333 0.2465
Mg 0.6667 0.3333 0.7535
Mg 0.6676 0.8338 0.2591
Mg 0.6676 0.8338 0.7409
Mg 0.9940 0.4970 0.5000
Ga 0.0000 0.0000 0.5000

The 10 most intense peaks (10° ≤ 2θ ≤ 90°), low angle first:
two_theta	d/Å	I/Imax
16.03	5.530	5
18.20	4.875	10
32.38	2.765	25
34.74	2.582	26
36.87	2.438	100
48.22	1.887	15
57.75	1.596	17
63.68	1.461	18
69.19	1.358	19
70.52	1.335	13

=====

Entry 5:
Computed powder X-ray diffraction pattern
Compound: NaMg6Ga
Radiation: copper Kα
Structure: DFT lattice parameters and positions (GGA-PBE)
Peak positions follow from Bragg's law for the DFT cell and can differ from measured ones.

Structure:
abc: 5.1945 6.3645 6.3645
angles: 59.76 90.00 90.00
Fractional positions:
Na 0.0000 0.0000 0.0000
Mg 0.0000 0.0002 0.4984
Mg 0.0000 0.4984 0.0002
Mg 0.5000 0.1701 0.1701
Mg 0.5000 0.1731 0.6615
Mg 0.5000 0.6615 0.1731
Mg 0.5000 0.6656 0.6656
Ga 0.0000 0.4964 0.4964

The 10 most intense peaks (10° ≤ 2θ ≤ 90°), low angle first:
two_theta	d/Å	I/Imax
16.10	5.504	29
23.55	3.778	21
32.57	2.749	24
34.53	2.597	39
36.89	2.437	47
36.99	2.430	100
48.17	1.889	25
57.96	1.591	16
63.50	1.465	20
69.25	1.357	19

=====

Entry 6:
Computed powder X-ray diffraction pattern
Compound: NaMg5Ga3
Radiation: copper Kα
Structure: DFT lattice parameters and positions (GGA-PBE)
Peak positions follow from Bragg's law for the DFT cell and can differ from measured ones.

Structure:
abc: 8.4203 8.4203 6.1083
angles: 90.00 90.00 120.00
Fractional positions:
Na 0.0000 0.0000 0.0000
Na 0.0000 0.0000 0.5000
Mg 0.0000 0.3325 0.2500
Mg 0.0000 0.6675 0.7500
Mg 0.3325 0.0000 0.2500
Mg 0.3325 0.3325 0.7500
Mg 0.3333 0.6667 0.0000
Mg 0.3333 0.6667 0.5000
Mg 0.6675 0.0000 0.7500
Mg 0.6667 0.3333 0.0000
Mg 0.6667 0.3333 0.5000
Mg 0.6675 0.6675 0.2500
Ga 0.0000 0.3415 0.7500
Ga 0.0000 0.6585 0.2500
Ga 0.3415 0.0000 0.7500
Ga 0.3415 0.3415 0.2500
Ga 0.6585 0.0000 0.2500
Ga 0.6585 0.6585 0.7500

The 10 most intense peaks (10° ≤ 2θ ≤ 90°), low angle first:
two_theta	d/Å	I/Imax
21.10	4.210	16
25.70	3.467	57
29.24	3.054	22
36.34	2.472	77
36.98	2.431	100
47.83	1.902	33
52.82	1.733	25
66.22	1.411	24
66.64	1.403	16
73.20	1.293	25

=====

Entry 7:
Computed powder X-ray diffraction pattern
Compound: NaMg6Ga
Radiation: copper Kα
Structure: DFT lattice parameters and positions (GGA-PBE)
Peak positions follow from Bragg's law for the DFT cell and can differ from measured ones.

Structure:
abc: 5.0971 6.2365 6.2365
angles: 67.18 90.00 90.00
Fractional positions:
Na 0.0000 0.0000 0.0000
Mg 0.0000 0.0341 0.4841
Mg 0.0000 0.4841 0.0341
Mg 0.0000 0.5214 0.5214
Mg 0.5000 0.2198 0.6916
Mg 0.5000 0.6916 0.2198
Mg 0.5000 0.7128 0.7128
Ga 0.5000 0.2032 0.2032

The 10 most intense peaks (10° ≤ 2θ ≤ 90°), low angle first:
two_theta	d/Å	I/Imax
15.41	5.748	19
23.32	3.814	10
31.12	2.874	12
34.53	2.598	19
35.21	2.549	30
35.87	2.504	100
38.91	2.314	19
50.15	1.819	13
63.62	1.463	17
71.29	1.323	10

=====

Entry 8:
Computed powder X-ray diffraction pattern
Compound: NaMgGa
Radiation: copper Kα
Structure: DFT lattice parameters and positions (GGA-PBE)
Peak positions follow from Bragg's law for the DFT cell and can differ from measured ones.

Structure:
abc: 7.1347 5.9956 5.5149
angles: 76.48 54.79 48.73
Fractional positions:
Na 0.1630 0.8370 0.1630
Na 0.8370 0.1630 0.8370
Mg 0.3333 0.3333 0.6667
Mg 0.6667 0.6667 0.3333
Ga 0.2500 0.2500 0.2500
Ga 0.7500 0.7500 0.7500

The 10 most intense peaks (10° ≤ 2θ ≤ 90°), low angle first:
two_theta	d/Å	I/Imax
16.69	5.312	100
18.63	4.763	69
25.11	3.546	47
31.39	2.850	33
36.48	2.463	54
37.46	2.401	53
38.82	2.320	59
41.26	2.188	99
41.56	2.173	52
62.12	1.494	52

=====

Entry 9:
Computed powder X-ray diffraction pattern
Compound: NaMg2Ga10
Radiation: copper Kα
Structure: DFT lattice parameters and positions (GGA-PBE)
Peak positions follow from Bragg's law for the DFT cell and can differ from measured ones.

Structure:
abc: 9.4393 7.3348 7.2621
angles: 80.58 50.05 49.37
Fractional positions:
Na 0.0000 0.0000 0.0000
Mg 0.0000 0.0000 0.5000
Mg 0.5000 0.5000 0.0000
Ga 0.0000 0.5000 0.0000
Ga 0.0024 0.3547 0.6453
Ga 0.2816 0.4948 0.5052
Ga 0.3547 0.0024 0.9976
Ga 0.4948 0.2816 0.7184
Ga 0.5000 0.0000 0.5000
Ga 0.5052 0.7184 0.2816
Ga 0.6453 0.9976 0.0024
Ga 0.7184 0.5052 0.4948
Ga 0.9976 0.6453 0.3547

The 10 most intense peaks (10° ≤ 2θ ≤ 90°), low angle first:
two_theta	d/Å	I/Imax
13.19	6.714	98
30.27	2.953	57
32.24	2.777	67
35.88	2.503	100
37.40	2.404	88
37.76	2.382	83
38.14	2.360	86
40.69	2.217	79
40.92	2.206	79
42.45	2.129	58

=====

Entry 10:
Computed powder X-ray diffraction pattern
Compound: Na3Mg2Ga4
Radiation: copper Kα
Structure: DFT lattice parameters and positions (GGA-PBE)
Peak positions follow from Bragg's law for the DFT cell and can differ from measured ones.

Structure:
abc: 4.8028 6.3217 7.4591
angles: 76.03 89.77 68.07
Fractional positions:
Na 0.0000 0.0000 0.0000
Na 0.4708 0.0574 0.7086
Na 0.5292 0.9426 0.2914
Mg 0.2561 0.4921 0.3249
Mg 0.7439 0.5079 0.6751
Ga 0.1099 0.7778 0.5777
Ga 0.2634 0.4718 0.9224
Ga 0.7366 0.5282 0.0776
Ga 0.8901 0.2222 0.4223

The 10 most intense peaks (10° ≤ 2θ ≤ 90°), low angle first:
two_theta	d/Å	I/Imax
15.64	5.665	31
17.23	5.147	58
22.51	3.951	57
30.79	2.904	30
33.51	2.674	20
35.05	2.560	100
36.98	2.431	22
37.45	2.401	65
40.83	2.210	19
40.98	2.202	22

=====

Entry 11:
Computed powder X-ray diffraction pattern
Compound: NaNdMgGa
Radiation: copper Kα
Structure: DFT lattice parameters and positions (GGA-PBE)
Peak positions follow from Bragg's law for the DFT cell and can differ from measured ones.

Structure:
abc: 5.1302 5.1302 5.1302
angles: 60.00 60.00 60.00
Fractional positions:
Na 0.0000 0.0000 0.0000
Nd 0.2500 0.2500 0.2500
Mg 0.7500 0.7500 0.7500
Ga 0.5000 0.5000 0.5000

The 10 most intense peaks (10° ≤ 2θ ≤ 90°), low angle first:
two_theta	d/Å	I/Imax
21.21	4.189	54
34.98	2.565	100
41.27	2.188	29
50.30	1.814	18
55.18	1.664	12
62.74	1.481	35
67.03	1.396	9
73.89	1.283	11
77.90	1.226	9
84.45	1.147	15

=====

Entry 12:
Computed powder X-ray diffraction pattern
Compound: NaMg6GaO8
Radiation: copper Kα
Structure: DFT lattice parameters and positions (GGA-PBE)
Peak positions follow from Bragg's law for the DFT cell and can differ from measured ones.

Structure:
abc: 4.2717 4.2717 8.6024
angles: 90.00 90.00 90.00
Fractional positions:
Na 0.0000 0.0000 0.0000
Mg 0.0000 0.0000 0.5000
Mg 0.0000 0.5000 0.2481
Mg 0.0000 0.5000 0.7519
Mg 0.5000 0.0000 0.2481
Mg 0.5000 0.0000 0.7519
Mg 0.5000 0.5000 0.5000
Ga 0.5000 0.5000 0.0000
O 0.0000 0.0000 0.2647
O 0.0000 0.0000 0.7353
O 0.0000 0.5000 0.0000
O 0.0000 0.5000 0.5000
O 0.5000 0.0000 0.0000
O 0.5000 0.0000 0.5000
O 0.5000 0.5000 0.2364
O 0.5000 0.5000 0.7636

The 10 most intense peaks (10° ≤ 2θ ≤ 90°), low angle first:
two_theta	d/Å	I/Imax
10.28	8.602	22
20.79	4.272	11
23.25	3.826	21
36.34	2.472	32
42.01	2.151	50
42.32	2.136	100
61.16	1.515	57
61.39	1.510	29
73.48	1.289	12
77.18	1.236	26

=====

Entry 13:
Computed powder X-ray diffraction pattern
Compound: NaMgGa2Os
Radiation: copper Kα
Structure: DFT lattice parameters and positions (GGA-PBE)
Peak positions follow from Bragg's law for the DFT cell and can differ from measured ones.

Structure:
abc: 4.8371 4.8371 5.0495
angles: 90.00 90.00 90.00
Fractional positions:
Na 0.0000 0.0000 0.0000
Mg 0.5000 0.5000 0.0000
Ga 0.0000 0.5000 0.5000
Ga 0.5000 0.0000 0.5000
Os 0.5000 0.5000 0.5000

The 10 most intense peaks (10° ≤ 2θ ≤ 90°), low angle first:
two_theta	d/Å	I/Imax
17.56	5.050	100
18.34	4.837	80
25.50	3.493	71
35.56	2.525	33
37.17	2.419	58
40.29	2.238	22
41.39	2.181	47
45.62	1.988	30
52.39	1.747	43
65.98	1.416	21

=====

Entry 14:
Computed powder X-ray diffraction pattern
Compound: NaMgGa2Sn2
Radiation: copper Kα
Structure: DFT lattice parameters and positions (GGA-PBE)
Peak positions follow from Bragg's law for the DFT cell and can differ from measured ones.

Structure:
abc: 4.8325 4.8325 7.2244
angles: 90.00 90.00 120.00
Fractional positions:
Na 0.0000 0.0000 0.0000
Mg 0.0000 0.0000 0.5000
Ga 0.3333 0.6667 0.3459
Ga 0.6667 0.3333 0.6541
Sn 0.3333 0.6667 0.7565
Sn 0.6667 0.3333 0.2435

The 10 most intense peaks (10° ≤ 2θ ≤ 90°), low angle first:
two_theta	d/Å	I/Imax
21.23	4.185	44
24.61	3.617	66
32.75	2.734	84
37.21	2.416	100
43.35	2.087	41
45.14	2.009	44
50.40	1.811	25
58.40	1.580	23
64.29	1.449	24
68.72	1.366	22